Diffraction record for EuAl. The powder diffractogram is calculated, not measured: it uses the GGA-PBE geometry in the Materials Project and Cu Kα.
Neutral-atom scattering factors, no anomalous dispersion.

Crystal structure
Unit cell a=4.164 b=12.621 c=4.670 alpha=90.00 beta=90.00 gamma=90.00
Element x y z (fractional)
Eu (0.000, 0.151, 0.250)
Eu (0.000, 0.849, 0.750)
Eu (0.500, 0.349, 0.750)
Eu (0.500, 0.651, 0.250)
Al (0.000, 0.440, 0.250)
Al (0.000, 0.560, 0.750)
Al (0.500, 0.060, 0.750)
Al (0.500, 0.940, 0.250)

Peak list (10 most intense, 10° ≤ 2θ ≤ 80°, low angle first)
| 2theta | I (rel.) |
| --- | --- |
| 22.5 | 209 |
| 23.7 | 745 |
| 28.3 | 218 |
| 29.6 | 1000 |
| 30.2 | 655 |
| 34.3 | 277 |
| 38.6 | 220 |
| 46.3 | 261 |
| 49.7 | 325 |
| 50.1 | 203 |